Structure and simulated powder X-ray diffraction pattern of CsRb2PuH6 (a DFT-relaxed cell (GGA-PBE, Alexandria); λ = 1.5418 Å (Cu Kα)).
No peak broadening, texture or thermal motion is included.

Structural model:
```
data_CsRb2PuH6
_chemical_formula_sum 'Cs4 Rb8 Pu4 H24'
_cell_length_a 10.057
_cell_length_b 10.057
_cell_length_c 10.057
_cell_angle_alpha 90.00
_cell_angle_beta 90.00
_cell_angle_gamma 90.00
_space_group_name_H-M_alt 'F m -3 m'
_space_group_IT_number 225
_space_group_name_Hall '-F 4 2 3'
loop_
_atom_site_label
_atom_site_type_symbol
_atom_site_fract_x
_atom_site_fract_y
_atom_site_fract_z
Cs1 Cs 0.000 0.000 0.000
Rb1 Rb 0.250 0.250 0.250
Pu1 Pu 0.000 0.000 0.500
H1 H 0.000 0.000 0.280
```

Top 8 peaks for 10 to 90 degrees two-theta, in order of falling intensity:
d [Å]	intensity	hkl
3.556	100	2 2 0
2.053	44	4 2 2
1.344	23	6 4 2
2.514	21	4 0 0
1.590	20	6 2 0
5.029	15	2 0 0
1.778	14	4 4 0
1.185	12	6 6 0